The following is a calculated powder diffractogram of Eu2InFeO6. It was derived from DFT lattice parameters and positions (PBE+U), using CuKα.

Structural model:
abc: 8.0496 8.0496 8.0496
angles: 90.00 90.00 90.00
Space group Fm-3m (No. 225)
One atom of each set of equivalent atoms:
Eu1 0.2500 0.2500 0.2500 [8 per cell]
In1 0.0000 0.0000 0.0000 [4 per cell]
Fe1 0.0000 0.0000 0.5000 [4 per cell]
O1 0.0000 0.0000 0.2598 [24 per cell]

The 12 most intense peaks (10° ≤ 2θ ≤ 90°), low angle first:
h k l  Position (°2θ)  I/Imax
1 1 1  19.10  3
2 0 0  22.09  5
2 2 0  31.43  100
3 1 1  37.04  2
2 2 2  38.75  10
4 0 0  45.05  30
4 2 0  50.72  3
4 2 2  55.96  39
4 4 0  65.61  18
6 2 0  74.56  17
6 2 2  78.88  3
4 4 4  83.14  6